[1]
This entry pairs a crystal structure of Ac4TbHg5 with its theoretical XRD peak list. Radiation: Cu Kα X-rays. Structure: DFT lattice parameters and positions (GGA-PBE).

Cell and atoms:
a = 3.9696 Å, b = 3.9696 Å, c = 20.0736 Å
α = 90.00°, β = 90.00°, γ = 90.00°
Space group P4/mmm (No. 123)
Symmetry-distinct sites (fractional):
Ac (0.0000, 0.0000, 0.1031) (multiplicity 2)
Ac (0.0000, 0.0000, 0.3100) (multiplicity 2)
Tb (0.0000, 0.0000, 0.5000) (multiplicity 1)
Hg (0.5000, 0.5000, 0.0000) (multiplicity 1)
Hg (0.5000, 0.5000, 0.2057) (multiplicity 2)
Hg (0.5000, 0.5000, 0.4167) (multiplicity 2)

Top 12 peaks for 2θ = 15–90°, most intense first:
d (Å)	Position (°2θ)	I (rel.)	h k l
2.823	31.7	100	1 0 5
2.807	31.9	54	1 1 0
1.624	56.7	40	2 1 5
1.985	45.7	20	2 0 0
1.256	75.7	18	3 1 0
1.633	56.3	16	1 1 10
1.411	66.2	10	2 0 10
2.007	45.2	8	0 0 10
1.403	66.6	7	2 2 0
1.150	84.2	5	2 2 10
1.115	87.4	5	2 1 14
3.113	28.7	5	1 0 4

[2]
This entry pairs a crystal structure of Pa4CoSi with its theoretical XRD peak list. Radiation: Cu Kα X-rays. Structure: DFT lattice parameters and positions (GGA-PBE).

Cell and atoms:
a = 6.8067 Å, b = 6.8067 Å, c = 5.4782 Å
α = 90.00°, β = 90.00°, γ = 90.00°
Space group P4/mcc (No. 124)
Symmetry-distinct sites (fractional):
Pa (0.1486, 0.3376, 0.0000) (multiplicity 8)
Co (0.0000, 0.0000, 0.2500) (multiplicity 2)
Si (0.5000, 0.5000, 0.2500) (multiplicity 2)

Top 12 peaks for 2θ = 15–90°, most intense first:
d (Å)	Position (°2θ)	I (rel.)	h k l
2.661	33.7	100	2 1 1
1.566	59.0	21	2 1 3
2.152	42.0	19	3 1 0
2.739	32.7	19	0 0 2
1.232	77.5	13	5 2 1
1.384	67.7	13	3 3 2
1.581	58.4	12	4 1 1
2.381	37.8	11	1 1 2
2.134	42.4	10	2 0 2
1.692	54.2	9	3 1 2
1.445	64.5	9	4 0 2
4.813	18.4	8	1 1 0

[3]
This entry pairs a crystal structure of TbDy7Er4 with its theoretical XRD peak list. Radiation: Cu Kα X-rays. Structure: DFT lattice parameters and positions (GGA-PBE).

Cell and atoms:
a = 6.4377 Å, b = 6.7580 Å, c = 8.9704 Å
α = 86.22°, β = 76.61°, γ = 82.14°
Space group P-1 (No. 2)
Symmetry-distinct sites (fractional):
Tb (0.0000, 0.0000, 0.0000) (multiplicity 1)
Dy (0.0000, 0.5000, 0.0000) (multiplicity 1)
Dy (0.1922, 0.1031, 0.3866) (multiplicity 2)
Dy (0.3146, 0.7018, 0.6415) (multiplicity 2)
Dy (0.4851, 0.2507, 0.0509) (multiplicity 2)
Er (0.1608, 0.6113, 0.3139) (multiplicity 2)
Er (0.3578, 0.1957, 0.7140) (multiplicity 2)

Top 12 peaks for 2θ = 15–90°, most intense first:
d (Å)	Position (°2θ)	I (rel.)	h k l
2.804	31.9	100	1 -2 0
2.738	32.7	50	2 0 -1
2.852	31.4	38	2 0 2
2.907	30.8	35	0 0 3
2.728	32.8	32	1 2 2
1.593	57.9	24	-3 2 1
2.701	33.2	18	0 1 3
1.917	47.4	12	3 2 1
2.094	43.2	12	1 -2 3
2.571	34.9	11	1 -1 3
2.765	32.4	11	2 1 2
1.949	46.6	11	-1 2 3

[4]
This entry pairs a crystal structure of CsAl2Ga2 with its theoretical XRD peak list. Radiation: Cu Kα X-rays. Structure: DFT lattice parameters and positions (GGA-PBE).

Cell and atoms:
a = 4.1712 Å, b = 4.1712 Å, c = 8.0270 Å
α = 90.00°, β = 90.00°, γ = 90.00°
Space group P4/mmm (No. 123)
Symmetry-distinct sites (fractional):
Cs (0.0000, 0.0000, 0.0000) (multiplicity 1)
Al (0.0000, 0.5000, 0.5000) (multiplicity 2)
Ga (0.5000, 0.5000, 0.2911) (multiplicity 2)

Top 12 peaks for 2θ = 15–90°, most intense first:
d (Å)	Position (°2θ)	I (rel.)	h k l
2.892	30.9	100	1 0 2
3.701	24.0	80	1 0 1
1.982	45.8	41	1 1 3
1.692	54.2	40	2 1 2
2.949	30.3	39	1 1 0
2.086	43.4	32	2 0 0
2.768	32.3	29	1 1 1
1.817	50.2	21	2 1 1
1.183	81.3	15	3 1 3
1.498	61.9	15	1 0 5
1.217	78.6	15	2 1 5
1.446	64.4	12	2 0 4

[5]
This entry pairs a crystal structure of Zr9In14Co7 with its theoretical XRD peak list. Radiation: Cu Kα X-rays. Structure: DFT lattice parameters and positions (GGA-PBE).

Cell and atoms:
a = 13.3604 Å, b = 13.3604 Å, c = 13.3604 Å
α = 90.00°, β = 90.00°, γ = 90.00°
Space group Fm-3m (No. 225)
Symmetry-distinct sites (fractional):
Zr (0.0000, 0.0000, 0.0000) (multiplicity 4)
Zr (0.1210, 0.1210, 0.3790) (multiplicity 32)
In (0.0000, 0.1709, 0.1709) (multiplicity 48)
In (0.2500, 0.2500, 0.2500) (multiplicity 8)
Co (0.0000, 0.0000, 0.2788) (multiplicity 24)
Co (0.0000, 0.0000, 0.5000) (multiplicity 4)

Top 12 peaks for 2θ = 15–90°, most intense first:
d (Å)	Position (°2θ)	I (rel.)	h k l
2.571	34.9	100	3 3 3
2.258	39.9	43	5 3 1
2.362	38.1	35	4 4 0
1.575	58.6	30	6 6 0
2.727	32.8	29	4 2 2
2.227	40.5	26	6 0 0
1.364	68.9	24	8 4 4
2.014	45.0	18	6 2 2
2.987	29.9	13	4 2 0
1.466	63.4	12	9 1 1
1.343	70.1	12	9 3 3
1.543	60.0	11	5 5 5

[6]
This entry pairs a crystal structure of CeCo6B3 with its theoretical XRD peak list. Radiation: Cu Kα X-rays. Structure: DFT lattice parameters and positions (GGA-PBE).

Cell and atoms:
a = 5.0283 Å, b = 5.0283 Å, c = 14.6353 Å
α = 90.00°, β = 90.00°, γ = 120.00°
Space group R3 (No. 146, hexagonal axes)
Symmetry-distinct sites (fractional):
Ce (0.0000, 0.0000, 0.0000) (multiplicity 3)
Co (0.0030, 0.4440, 0.1345) (multiplicity 9)
Co (0.1596, 0.8249, 0.2772) (multiplicity 9)
B (0.0000, 0.0000, 0.1777) (multiplicity 3)
B (0.0000, 0.0000, 0.3760) (multiplicity 3)
B (0.0000, 0.0000, 0.7102) (multiplicity 3)

Top 12 peaks for 2θ = 15–90°, most intense first:
d (Å)	Position (°2θ)	I (rel.)	h k l
2.154	42.0	100	0 2 1
2.235	40.4	50	2 -1 3
2.801	31.9	42	1 0 4
2.429	37.0	34	0 1 5
2.087	43.4	34	2 0 2
1.747	52.4	32	2 0 5
2.439	36.8	31	0 0 6
1.751	52.3	28	1 1 6
3.742	23.8	20	0 1 2
1.871	48.7	20	0 2 4
1.257	75.7	18	2 2 0
1.117	87.3	16	3 1 5

[7]
This entry pairs a crystal structure of PmCdC with its theoretical XRD peak list. Radiation: Cu Kα X-rays. Structure: DFT lattice parameters and positions (GGA-PBE).

Cell and atoms:
a = 7.8065 Å, b = 3.7416 Å, c = 9.6846 Å
α = 90.00°, β = 107.93°, γ = 90.00°
Space group C2/m (No. 12)
Symmetry-distinct sites (fractional):
Pm (0.0891, 0.0000, 0.3487) (multiplicity 4)
Cd (0.1830, 0.5000, 0.0899) (multiplicity 4)
C (0.0889, 0.5000, 0.5344) (multiplicity 4)

Top 12 peaks for 2θ = 15–90°, most intense first:
d (Å)	Position (°2θ)	I (rel.)	h k l
2.903	30.8	100	1 1 -2
3.127	28.5	70	2 0 1
2.135	42.3	42	3 1 -1
2.120	42.7	31	1 1 3
2.834	31.6	27	2 0 -3
2.302	39.1	26	0 0 4
1.605	57.4	24	2 2 1
3.010	29.7	23	1 1 1
3.291	27.1	21	1 1 -1
1.871	48.7	18	0 2 0
1.562	59.1	16	4 0 2
1.593	57.9	15	3 1 -5

[8]
This entry pairs a crystal structure of ZnIrPt2 with its theoretical XRD peak list. Radiation: Cu Kα X-rays. Structure: DFT lattice parameters and positions (GGA-PBE).

Cell and atoms:
a = 9.1078 Å, b = 2.8047 Å, c = 4.7770 Å
α = 90.00°, β = 100.38°, γ = 90.00°
Space group C2/m (No. 12)
Symmetry-distinct sites (fractional):
Zn (0.0000, 0.0000, 0.0000) (multiplicity 2)
Ir (0.0000, 0.5000, 0.5000) (multiplicity 2)
Pt (0.2500, 0.0000, 0.7470) (multiplicity 4)

Top 12 peaks for 2θ = 15–90°, most intense first:
d (Å)	Position (°2θ)	I (rel.)	h k l
2.274	39.6	100	1 1 1
1.965	46.2	65	3 1 -1
2.254	40.0	49	2 0 -2
2.240	40.3	48	4 0 0
1.942	46.8	31	2 0 2
1.378	68.0	31	5 1 1
1.176	81.9	25	3 1 3
1.385	67.7	21	1 1 -3
1.191	80.7	14	2 2 -2
1.180	81.6	13	5 1 -3
1.189	80.9	13	4 2 0
4.699	18.9	12	0 0 1

[9]
This entry pairs a crystal structure of Pr7DyHo3 with its theoretical XRD peak list. Radiation: Cu Kα X-rays. Structure: DFT lattice parameters and positions (GGA-PBE).

Cell and atoms:
a = 19.4557 Å, b = 7.2221 Å, c = 12.7123 Å
α = 90.00°, β = 116.66°, γ = 90.00°
Space group C2/c (No. 15)
Symmetry-distinct sites (fractional):
Pr (0.0000, 0.2084, 0.2500) (multiplicity 4)
Pr (0.1582, 0.4946, 0.7725) (multiplicity 8)
Pr (0.1652, 0.2466, 0.0238) (multiplicity 8)
Pr (0.1674, 0.2474, 0.5277) (multiplicity 8)
Dy (0.0000, 0.0000, 0.0000) (multiplicity 4)
Ho (0.0000, 0.5000, 0.0000) (multiplicity 4)
Ho (0.1714, 0.0034, 0.2735) (multiplicity 8)

Top 12 peaks for 2θ = 15–90°, most intense first:
d (Å)	Position (°2θ)	I (rel.)	h k l
2.838	31.5	100	0 0 4
2.681	33.4	52	2 2 2
2.898	30.9	50	6 0 0
2.732	32.8	31	6 0 -4
1.827	49.9	26	4 2 -6
3.120	28.6	22	2 2 -2
3.047	29.3	20	0 2 2
1.537	60.2	15	2 2 6
1.555	59.5	15	10 2 -6
1.532	60.4	14	6 4 0
1.696	54.1	14	10 2 -2
1.806	50.6	12	0 4 0

[10]
This entry pairs a crystal structure of SrAg2P with its theoretical XRD peak list. Radiation: Cu Kα X-rays. Structure: DFT lattice parameters and positions (GGA-PBE).

Cell and atoms:
a = 4.3545 Å, b = 4.4581 Å, c = 5.2959 Å
α = 90.00°, β = 98.94°, γ = 90.00°
Space group P2/m (No. 10)
Symmetry-distinct sites (fractional):
Sr (0.0000, 0.0000, 0.0000) (multiplicity 1)
Ag (0.4509, 0.5000, 0.7429) (multiplicity 2)
P (0.5000, 0.0000, 0.5000) (multiplicity 1)

Top 12 peaks for 2θ = 15–90°, most intense first:
d (Å)	Position (°2θ)	I (rel.)	h k l
3.095	28.8	100	1 1 0
2.256	40.0	52	0 1 2
4.302	20.6	31	1 0 0
2.805	31.9	26	1 1 -1
2.229	40.5	25	0 2 0
2.407	37.4	21	1 0 -2
2.151	42.0	17	2 0 0
1.673	54.9	16	2 1 -2
4.458	19.9	14	0 1 0
2.095	43.2	12	1 0 2
1.636	56.2	12	1 2 -2
1.548	59.7	12	2 2 0

[11]
This entry pairs a crystal structure of Ba2Ac2O5 with its theoretical XRD peak list. Radiation: Cu Kα X-rays. Structure: DFT lattice parameters and positions (GGA-PBE).

Cell and atoms:
a = 13.1680 Å, b = 7.1960 Å, c = 7.2208 Å
α = 90.00°, β = 90.00°, γ = 90.00°
Space group Cmce (No. 64)
Symmetry-distinct sites (fractional):
Ba (0.2072, 0.0000, 0.0000) (multiplicity 8)
Ac (0.0000, 0.1692, 0.3324) (multiplicity 8)
O (0.0000, 0.0000, 0.0000) (multiplicity 4)
O (0.1249, 0.1588, 0.6518) (multiplicity 16)

Top 12 peaks for 2θ = 15–90°, most intense first:
d (Å)	Position (°2θ)	I (rel.)	h k l
3.161	28.2	100	2 2 0
2.893	30.9	44	2 2 1
3.134	28.5	43	1 1 2
2.600	34.5	42	3 1 2
3.326	26.8	41	3 1 1
1.724	53.1	39	5 3 1
3.292	27.1	38	4 0 0
2.302	39.1	31	4 2 1
2.549	35.2	24	0 2 2
1.686	54.4	24	1 3 3
1.584	58.2	24	3 3 3
2.243	40.2	22	1 3 1

[12]
This entry pairs a crystal structure of Y4CoTe with its theoretical XRD peak list. Radiation: Cu Kα X-rays. Structure: DFT lattice parameters and positions (GGA-PBE).

Cell and atoms:
a = 8.2470 Å, b = 3.9115 Å, c = 19.4059 Å
α = 90.00°, β = 90.00°, γ = 90.00°
Space group Pnma (No. 62)
Symmetry-distinct sites (fractional):
Y (0.0089, 0.2500, 0.0677) (multiplicity 4)
Y (0.0386, 0.7500, 0.2170) (multiplicity 4)
Y (0.1431, 0.7500, 0.6444) (multiplicity 4)
Y (0.1439, 0.7500, 0.4529) (multiplicity 4)
Co (0.2438, 0.2500, 0.5486) (multiplicity 4)
Te (0.2397, 0.2500, 0.3125) (multiplicity 4)

Top 12 peaks for 2θ = 15–90°, most intense first:
d (Å)	Position (°2θ)	I (rel.)	h k l
2.857	31.3	100	1 1 4
2.599	34.5	85	2 1 3
2.755	32.5	51	0 1 5
1.955	46.4	46	0 2 0
2.722	32.9	43	3 0 1
2.391	37.6	39	3 0 4
2.808	31.9	34	2 1 1
2.291	39.3	31	2 1 5
2.826	31.7	31	2 0 5
1.515	61.2	29	3 2 4
2.838	31.5	29	2 1 0
2.613	34.3	27	1 1 5